Entry 1:
This entry pairs a crystal structure of Cs2TeO4 with its simulated X-ray powder pattern. Radiation: Cu Kα. Structure: a cell relaxed with PBE.

Cell and atoms:
```
data_Cs2TeO4
_chemical_formula_sum 'Cs8 Te4 O16'
_cell_length_a 8.7691
_cell_length_b 6.9089
_cell_length_c 11.8196
_cell_angle_alpha 90.00
_cell_angle_beta 90.00
_cell_angle_gamma 90.00
_symmetry_space_group_name_H-M 'P n m a'
_symmetry_Int_Tables_number 62
_symmetry_space_group_name_Hall '-P 2ac 2n'
loop_
_atom_site_label
_atom_site_type_symbol
_atom_site_fract_x
_atom_site_fract_y
_atom_site_fract_z
Cs1 Cs 0.0111 0.2500 0.2153
Cs2 Cs 0.1798 0.2500 0.5735
Te1 Te 0.2181 0.2500 0.9134
O1 O 0.0115 0.2500 0.9448
O2 O 0.1711 0.7500 0.5469
O3 O 0.2334 0.5312 0.3305
```

Peak list (10 most intense, 2θ = 5–70°, low angle first)
two_theta, I_rel, index
24.04, 20, 2 1 0
25.23, 100, 2 1 1
25.79, 53, 0 2 0
26.04, 88, 0 1 3
30.50, 14, 2 0 3
36.43, 30, 2 2 2
40.36, 14, 2 2 3
45.13, 12, 2 3 1
45.56, 13, 3 1 4
45.63, 19, 0 3 3

Entry 2:
This entry pairs a crystal structure of Sm2TlPd8 with its simulated X-ray powder pattern. Radiation: Cu Kα. Structure: a cell relaxed with PBE.

Cell and atoms:
```
data_Sm2TlPd8
_chemical_formula_sum 'Sm4 Tl2 Pd16'
_cell_length_a 4.7215
_cell_length_b 6.1515
_cell_length_c 14.4876
_cell_angle_alpha 90.00
_cell_angle_beta 90.00
_cell_angle_gamma 90.00
_symmetry_space_group_name_H-M 'I m m m'
_symmetry_Int_Tables_number 71
_symmetry_space_group_name_Hall '-I 2 2'
loop_
_atom_site_label
_atom_site_type_symbol
_atom_site_fract_x
_atom_site_fract_y
_atom_site_fract_z
Sm1 Sm 0.0000 0.0000 0.1879
Tl1 Tl 0.0000 0.0000 0.5000
Pd1 Pd 0.0000 0.2381 0.0000
Pd2 Pd 0.0000 0.2668 0.3571
Pd3 Pd 0.0000 0.5000 0.1775
```

Peak list (10 most intense, 2θ = 5–70°, low angle first)
two_theta, I_rel, index
23.42, 10, 0 1 3
34.45, 9, 1 1 4
36.38, 12, 1 0 5
37.24, 22, 0 0 6
38.12, 32, 2 0 0
39.64, 100, 1 2 3
54.35, 14, 2 0 6
60.16, 9, 0 4 0
68.76, 8, 1 2 9
69.91, 18, 3 2 3

Entry 3:
This entry pairs a crystal structure of Bi2Pb3S6 with its simulated X-ray powder pattern. Radiation: Cu Kα. Structure: a cell relaxed with PBE.

Cell and atoms:
```
data_Bi2Pb3S6
_chemical_formula_sum 'Bi8 Pb12 S24'
_cell_length_a 4.1232
_cell_length_b 13.6258
_cell_length_c 20.8520
_cell_angle_alpha 90.00
_cell_angle_beta 90.00
_cell_angle_gamma 90.00
_symmetry_space_group_name_H-M 'C m c m'
_symmetry_Int_Tables_number 63
_symmetry_space_group_name_Hall '-C 2c 2'
loop_
_atom_site_label
_atom_site_type_symbol
_atom_site_fract_x
_atom_site_fract_y
_atom_site_fract_z
Bi1 Bi 0.0000 0.0864 0.1336
Pb1 Pb 0.0000 0.1791 0.7500
Pb2 Pb 0.0000 0.3592 0.0468
S1 S 0.0000 0.0000 0.0000
S2 S 0.0000 0.1760 0.2500
S3 S 0.0000 0.2746 0.6021
S4 S 0.0000 0.4538 0.1646
```

Peak list (10 most intense, 2θ = 5–70°, low angle first)
two_theta, I_rel, index
24.11, 28, 1 1 2
25.04, 100, 0 2 5
25.96, 58, 1 1 3
29.57, 47, 1 3 1
30.51, 67, 1 3 2
32.02, 27, 1 3 3
41.52, 36, 1 1 8
43.43, 65, 0 0 10
51.22, 31, 2 2 5
69.91, 27, 1 9 5